# 1
The following is a theoretical XRD peak list of Rb3Bi2. It was derived from a cell relaxed with PBE, using a wavelength of 1.5418 Å.

Main lines, most intense first (2θ from 10° to 90°):
2θ/deg	I_rel
28.53	100.0
17.19	51.5
25.55	49.4
30.15	38.5
29.94	35.7
27.75	23.9
17.31	23.1
37.40	18.8
35.27	18.0
46.92	17.9

Structure:
Unit cell a=7.1211 b=7.1211 c=9.8789 alpha=100.86 beta=100.86 gamma=91.99
Fractional positions:
Rb1 0.1589 0.8411 0.7500
Rb2 0.2435 0.3437 0.0176
Rb3 0.3437 0.2435 0.5176
Rb4 0.6563 0.7565 0.4824
Rb5 0.7565 0.6563 0.9824
Rb6 0.8411 0.1589 0.2500
Bi1 0.1156 0.6886 0.3428
Bi2 0.3114 0.8844 0.1572
Bi3 0.6886 0.1156 0.8428
Bi4 0.8844 0.3114 0.6572


# 2
The following is a theoretical XRD peak list of Cs2Rb8HgAu3. It was derived from a cell relaxed with PBE, using a wavelength of 1.5418 Å.

Main lines, most intense first (2θ from 10° to 90°):
2θ/deg	I_rel
28.14	100.0
35.35	95.9
11.62	93.7
20.98	90.9
13.84	87.4
24.72	80.1
28.02	76.0
40.75	61.8
14.67	61.0
19.79	60.3

Structure:
Unit cell a=13.8073 b=13.8073 c=13.8073 alpha=37.93 beta=37.93 gamma=37.93
Fractional positions:
Cs1 0.0000 0.0000 0.0000
Cs2 0.3197 0.3197 0.3197
Rb1 0.0350 0.0350 0.5535
Rb2 0.0350 0.5535 0.0350
Rb3 0.1001 0.5966 0.5966
Rb4 0.1260 0.1260 0.1260
Rb5 0.5535 0.0350 0.0350
Rb6 0.5829 0.5829 0.5829
Rb7 0.5966 0.1001 0.5966
Rb8 0.5966 0.5966 0.1001
Hg1 0.6843 0.6843 0.6843
Au1 0.3910 0.3910 0.7197
Au2 0.3910 0.7197 0.3910
Au3 0.7197 0.3910 0.3910


# 3
The following is a theoretical XRD peak list of PrHoTm5Sc2. It was derived from a cell relaxed with PBE, using a wavelength of 1.5418 Å.

Main lines, most intense first (2θ from 10° to 90°):
2θ/deg	I_rel
32.79	100.0
33.55	70.9
32.26	59.4
34.91	50.6
26.81	22.5
25.46	21.4
16.51	19.9
57.87	19.8
62.82	14.3
58.36	14.2

Structure:
Unit cell a=11.0478 b=11.0478 c=9.2314 alpha=90.00 beta=90.00 gamma=150.91
Fractional positions:
Pr1 0.1854 0.8146 0.5000
Pr2 0.8146 0.1854 0.0000
Ho1 0.4040 0.5960 0.0981
Ho2 0.5960 0.4040 0.5981
Tm1 0.0076 0.9924 0.4969
Tm2 0.2652 0.7348 0.1821
Tm3 0.3090 0.6910 0.7962
Tm4 0.3930 0.6070 0.4702
Tm5 0.4684 0.5316 0.7682
Tm6 0.5316 0.4684 0.2682
Tm7 0.6070 0.3930 0.9702
Tm8 0.6910 0.3090 0.2962
Tm9 0.7348 0.2652 0.6821
Tm10 0.9924 0.0076 0.9969
Sc1 0.1131 0.8869 0.1928
Sc2 0.1414 0.8586 0.8239
Sc3 0.8586 0.1414 0.3239
Sc4 0.8869 0.1131 0.6928


# 4
The following is a theoretical XRD peak list of SmCuSn3. It was derived from a cell relaxed with PBE, using a wavelength of 1.5418 Å.

Main lines, most intense first (2θ from 10° to 90°):
2θ/deg	I_rel
35.00	100.0
41.24	95.0
31.99	92.1
32.39	57.0
36.17	55.3
55.47	52.8
35.50	41.6
35.81	40.7
69.16	34.8
28.22	29.2

Structure:
Unit cell a=12.6495 b=6.2381 c=6.1467 alpha=90.00 beta=90.00 gamma=90.00
Fractional positions:
Sm1 0.1981 0.0043 0.2500
Sm2 0.1981 0.4957 0.7500
Sm3 0.8019 0.5043 0.2500
Sm4 0.8019 0.9957 0.7500
Cu1 0.3860 0.2500 0.0000
Cu2 0.3860 0.2500 0.5000
Cu3 0.6140 0.7500 0.0000
Cu4 0.6140 0.7500 0.5000
Sn1 0.0010 0.2500 0.0000
Sn2 0.0010 0.2500 0.5000
Sn3 0.2658 0.5152 0.2500
Sn4 0.2658 0.9848 0.7500
Sn5 0.4465 0.6048 0.7500
Sn6 0.4465 0.8952 0.2500
Sn7 0.5535 0.1048 0.7500
Sn8 0.5535 0.3952 0.2500
Sn9 0.7342 0.0152 0.2500
Sn10 0.7342 0.4848 0.7500
Sn11 0.9990 0.7500 0.0000
Sn12 0.9990 0.7500 0.5000